[1]
NpPaSe3: calculated XRD peak list (a wavelength of 1.5418 Å), based on the PBE geometry in Alexandria.
Lines closer than 0.1° are merged.

Principal peaks in the range 2θ = 15–90°, in order of falling intensity:
30.86 deg, rel. 100.0, hkl 1 0 4; 44.45 deg, rel. 53.9, hkl 1 1 0; 43.95 deg, rel. 43.3, hkl 1 0 8; 28.52 deg, rel. 39.8, hkl 1 0 3; 33.65 deg, rel. 35.9, hkl 1 0 5; 26.74 deg, rel. 30.7, hkl 1 0 2; 17.48 deg, rel. 24.7, hkl 0 0 4; 72.65 deg, rel. 24.4, hkl 1 1 12; 55.09 deg, rel. 19.9, hkl 2 0 4; 25.61 deg, rel. 19.2, hkl 1 0 1

Crystal structure
a = 4.0763 Å, b = 4.0763 Å, c = 20.2931 Å
α = 90.00°, β = 90.00°, γ = 120.00°
Space group P6_3mc (No. 186)
Symmetry-distinct sites (fractional):
Np1 0.0000 0.0000 0.0000
Pa1 0.3333 0.6667 0.3324
Se1 0.0000 0.0000 0.2536
Se2 0.3333 0.6667 0.5754
Se3 0.3333 0.6667 0.9168

[2]
Li3PuCl9: calculated XRD peak list (a wavelength of 1.5418 Å), based on the PBE geometry in Alexandria.
Lines closer than 0.1° are merged.

Principal peaks in the range 2θ = 15–90°, in order of falling intensity:
17.39 deg, rel. 100.0, hkl 1 1 1; 18.12 deg, rel. 56.8, hkl 3 1 -1; 24.47 deg, rel. 51.4, hkl 3 1 -3; 26.47 deg, rel. 44.1, hkl 5 1 -1; 17.03 deg, rel. 42.2, hkl 0 0 2; 18.49 deg, rel. 41.5, hkl 4 0 -2; 35.25 deg, rel. 34.8, hkl 2 2 2; 32.91 deg, rel. 32.9, hkl 4 2 0; 28.35 deg, rel. 32.6, hkl 4 0 -4; 29.53 deg, rel. 28.9, hkl 2 0 -4

Crystal structure
a = 19.863 Å, b = 7.283 Å, c = 12.638 Å
α = 90.00°, β = 124.53°, γ = 90.00°
Space group C2/c (No. 15)
Symmetry-distinct sites (fractional):
Li1 0.000 0.130 0.250
Li2 0.180 0.394 0.257
Pu1 0.250 0.250 0.000
Cl1 0.000 0.500 0.000
Cl2 0.051 0.238 0.124
Cl3 0.112 0.080 0.894
Cl4 0.176 0.437 0.445
Cl5 0.227 0.283 0.772

[3]
Sr4Sn2F: calculated XRD peak list (a wavelength of 1.5418 Å), based on the PBE geometry in Alexandria.
Lines closer than 0.1° are merged.

Principal peaks in the range 2θ = 15–90°, in order of falling intensity:
31.35 deg, rel. 100.0, hkl 1 2 -2; 26.58 deg, rel. 53.4, hkl 1 2 0; 27.07 deg, rel. 51.8, hkl 2 0 -2; 26.94 deg, rel. 46.7, hkl 1 0 2; 29.57 deg, rel. 42.8, hkl 2 1 -2; 29.45 deg, rel. 38.0, hkl 1 1 2; 34.36 deg, rel. 32.3, hkl 2 2 0; 39.62 deg, rel. 30.5, hkl 1 0 -4; 39.39 deg, rel. 25.5, hkl 3 1 0; 16.99 deg, rel. 25.2, hkl 1 1 0

Crystal structure
a = 7.539 Å, b = 7.578 Å, c = 9.099 Å
α = 90.00°, β = 107.28°, γ = 90.00°
Space group P2_1/m (No. 11)
Symmetry-distinct sites (fractional):
Sr1 0.001 0.009 0.258
Sr2 0.397 0.750 0.077
Sr3 0.434 0.750 0.631
Sn1 0.219 0.250 0.042
Sn2 0.265 0.250 0.576
F1 0.225 0.750 0.797